[1]
# Li2CaAu2
Theoretical powder XRD pattern, CuKα. Input: the GGA-PBE geometry in Alexandria.
Kinematic intensities with the Lorentz-polarization factor, no thermal factor.

Crystal structure
```
data_Li2CaAu2
_symmetry_space_group_name_H-M 'P 1'
_symmetry_Int_Tables_number 1
_cell_length_a 4.060
_cell_length_b 4.060
_cell_length_c 6.275
_cell_angle_alpha 90.00
_cell_angle_beta 90.00
_cell_angle_gamma 90.00
loop_
_symmetry_equiv_pos_as_xyz
'x,y,z'
loop_
_atom_site_label
_atom_site_type_symbol
_atom_site_fract_x
_atom_site_fract_y
_atom_site_fract_z
Li1 Li 0.000 0.500 0.000
Li2 Li 0.500 0.000 0.000
Ca1 Ca 0.000 0.000 0.500
Au1 Au 0.500 0.500 0.275
Au2 Au 0.500 0.500 0.725
```

Principal peaks in the range 5° ≤ 2θ ≤ 70°, low angle first:
two_theta	Rel. int.
14.11	10
21.89	100
28.45	22
31.15	63
36.18	81
42.69	35
44.64	26
48.99	10
50.25	23
53.78	16
58.75	40
68.11	9

---

[2]
# Nd2Sm4Tm
Theoretical powder XRD pattern, CuKα. Input: the GGA-PBE geometry in Alexandria.
Kinematic intensities with the Lorentz-polarization factor, no thermal factor.

Crystal structure
```
data_Nd2Sm4Tm
_symmetry_space_group_name_H-M 'P 1'
_symmetry_Int_Tables_number 1
_cell_length_a 6.330
_cell_length_b 6.330
_cell_length_c 15.571
_cell_angle_alpha 90.00
_cell_angle_beta 90.00
_cell_angle_gamma 129.72
loop_
_symmetry_equiv_pos_as_xyz
'x,y,z'
loop_
_atom_site_label
_atom_site_type_symbol
_atom_site_fract_x
_atom_site_fract_y
_atom_site_fract_z
Nd1 Nd 0.105 0.895 0.844
Nd2 Nd 0.395 0.605 0.344
Nd3 Nd 0.605 0.395 0.656
Nd4 Nd 0.895 0.105 0.156
Sm1 Sm 0.103 0.897 0.306
Sm2 Sm 0.205 0.795 0.070
Sm3 Sm 0.295 0.705 0.570
Sm4 Sm 0.397 0.603 0.806
Sm5 Sm 0.603 0.397 0.194
Sm6 Sm 0.705 0.295 0.430
Sm7 Sm 0.795 0.205 0.930
Sm8 Sm 0.897 0.103 0.694
Tm1 Tm 0.000 0.000 0.500
Tm2 Tm 0.500 0.500 0.000
```

Principal peaks in the range 5° ≤ 2θ ≤ 70°, low angle first:
two_theta	Rel. int.
29.24	47
29.38	100
30.92	85
32.73	13
33.32	89
34.18	33
38.07	18
47.84	22
51.47	15
57.11	23
58.06	14
60.50	30

---

[3]
# PuUAsN
Theoretical powder XRD pattern, CuKα. Input: the GGA-PBE geometry in Alexandria.
Kinematic intensities with the Lorentz-polarization factor, no thermal factor.

Crystal structure
```
data_PuUAsN
_symmetry_space_group_name_H-M 'P 1'
_symmetry_Int_Tables_number 1
_cell_length_a 14.202
_cell_length_b 14.202
_cell_length_c 14.202
_cell_angle_alpha 14.95
_cell_angle_beta 14.95
_cell_angle_gamma 14.95
loop_
_symmetry_equiv_pos_as_xyz
'x,y,z'
loop_
_atom_site_label
_atom_site_type_symbol
_atom_site_fract_x
_atom_site_fract_y
_atom_site_fract_z
Pu1 Pu 0.242 0.242 0.242
Pu2 Pu 0.758 0.758 0.758
U1 U 0.000 0.000 0.000
U2 U 0.500 0.500 0.500
As1 As 0.379 0.379 0.379
As2 As 0.621 0.621 0.621
N1 N 0.189 0.189 0.189
N2 N 0.811 0.811 0.811
```

Principal peaks in the range 5° ≤ 2θ ≤ 70°, low angle first:
two_theta	Rel. int.
25.37	29
29.17	75
29.87	8
32.75	100
39.58	8
44.57	39
49.32	38
51.98	10
56.27	21
58.33	11
60.47	18
68.64	11

---

[4]
# LaSnCl3
Theoretical powder XRD pattern, CuKα. Input: the GGA-PBE geometry in Alexandria.
Kinematic intensities with the Lorentz-polarization factor, no thermal factor.

Crystal structure
```
data_LaSnCl3
_symmetry_space_group_name_H-M 'P 1'
_symmetry_Int_Tables_number 1
_cell_length_a 5.596
_cell_length_b 5.596
_cell_length_c 5.596
_cell_angle_alpha 90.00
_cell_angle_beta 90.00
_cell_angle_gamma 90.00
loop_
_symmetry_equiv_pos_as_xyz
'x,y,z'
loop_
_atom_site_label
_atom_site_type_symbol
_atom_site_fract_x
_atom_site_fract_y
_atom_site_fract_z
La1 La 0.000 0.000 0.000
Sn1 Sn 0.500 0.500 0.500
Cl1 Cl 0.000 0.000 0.500
Cl2 Cl 0.000 0.500 0.000
Cl3 Cl 0.500 0.000 0.000
```

Principal peaks in the range 5° ≤ 2θ ≤ 70°, low angle first:
two_theta	Rel. int.
15.84	8
22.47	100
27.61	8
31.99	57
35.88	3
39.44	49
45.87	41
51.65	23
54.38	3
57.01	14
62.06	27
66.88	6